Record 1
Calculated powder diffraction line list of Ru3W for Cu Kα, from a PBE-relaxed structure.

The 10 most intense peaks (2θ from 10° to 90°), in order of rising 2θ:
d [Å]	2theta	Rel. int.
3.230	27.6	8
2.759	32.5	4
2.389	37.6	24
2.191	41.2	25
2.098	43.1	100
1.615	57.0	15
1.380	67.9	17
1.246	76.4	18
1.167	82.7	20
1.153	84.0	14

Atomic structure:
```
data_Ru3W
_cell_length_a 5.518
_cell_length_b 5.518
_cell_length_c 4.382
_cell_angle_alpha 90.00
_cell_angle_beta 90.00
_cell_angle_gamma 120.00
_space_group_name_H-M_alt 'P 1'
_space_group_IT_number 1
loop_
_space_group_symop_operation_xyz
'x,y,z'
loop_
_atom_site_label
_atom_site_type_symbol
_atom_site_fract_x
_atom_site_fract_y
_atom_site_fract_z
Ru1 Ru 0.167 0.333 0.250
Ru2 Ru 0.167 0.833 0.250
Ru3 Ru 0.333 0.167 0.750
Ru4 Ru 0.667 0.833 0.250
Ru5 Ru 0.833 0.167 0.750
Ru6 Ru 0.833 0.667 0.750
W1 W 0.333 0.667 0.750
W2 W 0.667 0.333 0.250
```

Record 2
Calculated powder diffraction line list of Y5Ru2 for Cu Kα, from a PBE-relaxed structure.

The 10 most intense peaks (2θ from 10° to 90°), in order of rising 2θ:
d [Å]	2theta	Rel. int.
4.475	19.8	75
2.912	30.7	74
2.842	31.5	100
2.817	31.8	92
2.687	33.3	63
2.581	34.8	53
2.533	35.4	72
2.515	35.7	56
2.395	37.6	66
2.275	39.6	69

Atomic structure:
```
data_Y5Ru2
_cell_length_a 8.532
_cell_length_b 8.532
_cell_length_c 7.314
_cell_angle_alpha 96.59
_cell_angle_beta 96.59
_cell_angle_gamma 43.76
_space_group_name_H-M_alt 'P 1'
_space_group_IT_number 1
loop_
_space_group_symop_operation_xyz
'x,y,z'
loop_
_atom_site_label
_atom_site_type_symbol
_atom_site_fract_x
_atom_site_fract_y
_atom_site_fract_z
Y1 Y 0.080 0.920 0.750
Y2 Y 0.141 0.294 0.315
Y3 Y 0.291 0.521 0.085
Y4 Y 0.294 0.141 0.815
Y5 Y 0.479 0.709 0.415
Y6 Y 0.521 0.291 0.585
Y7 Y 0.706 0.859 0.185
Y8 Y 0.709 0.479 0.915
Y9 Y 0.859 0.706 0.685
Y10 Y 0.920 0.080 0.250
Ru1 Ru 0.103 0.677 0.424
Ru2 Ru 0.323 0.897 0.076
Ru3 Ru 0.677 0.103 0.924
Ru4 Ru 0.897 0.323 0.576
```